Pr2Sm3Hg3: theoretical X-ray powder pattern (Cu Kα, 1.54184 Å), based on a crystal structure in Alexandria, relaxed with GGA-PBE.
Peak positions follow from Bragg's law for the DFT cell and can differ from measured ones.

Cell and atoms:
```
data_Pr2Sm3Hg3
_space_group_name_H-M_alt 'P 1'
_space_group_IT_number 1
_space_group_name_Hall 'P 1'
_cell_length_a 3.838
_cell_length_b 5.448
_cell_length_c 22.663
_cell_angle_alpha 90.00
_cell_angle_beta 90.00
_cell_angle_gamma 90.00
loop_
_atom_site_label
_atom_site_type_symbol
_atom_site_fract_x
_atom_site_fract_y
_atom_site_fract_z
Pr1 Pr 0.000 0.000 0.231
Pr2 Pr 0.000 0.000 0.769
Pr3 Pr 0.500 0.500 0.269
Pr4 Pr 0.500 0.500 0.731
Sm1 Sm 0.000 0.000 0.000
Sm2 Sm 0.000 0.500 0.119
Sm3 Sm 0.000 0.500 0.881
Sm4 Sm 0.500 0.000 0.381
Sm5 Sm 0.500 0.000 0.619
Sm6 Sm 0.500 0.500 0.500
Hg1 Hg 0.000 0.000 0.500
Hg2 Hg 0.000 0.500 0.385
Hg3 Hg 0.000 0.500 0.615
Hg4 Hg 0.500 0.000 0.115
Hg5 Hg 0.500 0.000 0.885
Hg6 Hg 0.500 0.500 0.000
```

Peak list (10 most intense, 2θ from 5° to 70°, low angle first)
2θ = 31.58°, I 22; 2θ = 32.62°, I 100; 2θ = 32.88°, I 26; 2θ = 46.24°, I 15; 2θ = 47.38°, I 10; 2θ = 56.91°, I 11; 2θ = 58.06°, I 9; 2θ = 58.55°, I 19; 2θ = 58.87°, I 10; 2θ = 68.36°, I 11

TaGaCoRh: theoretical X-ray powder pattern (Cu Kα, 1.54184 Å), based on a crystal structure in Alexandria, relaxed with GGA-PBE.
Peak positions follow from Bragg's law for the DFT cell and can differ from measured ones.

Cell and atoms:
```
data_TaGaCoRh
_space_group_name_H-M_alt 'P 1'
_space_group_IT_number 1
_space_group_name_Hall 'P 1'
_cell_length_a 6.125
_cell_length_b 6.125
_cell_length_c 6.125
_cell_angle_alpha 90.00
_cell_angle_beta 90.00
_cell_angle_gamma 90.00
loop_
_atom_site_label
_atom_site_type_symbol
_atom_site_fract_x
_atom_site_fract_y
_atom_site_fract_z
Ta1 Ta 0.000 0.000 0.000
Ta2 Ta 0.000 0.500 0.500
Ta3 Ta 0.500 0.000 0.500
Ta4 Ta 0.500 0.500 0.000
Ga1 Ga 0.000 0.000 0.500
Ga2 Ga 0.000 0.500 0.000
Ga3 Ga 0.500 0.000 0.000
Ga4 Ga 0.500 0.500 0.500
Co1 Co 0.250 0.250 0.750
Co2 Co 0.250 0.750 0.250
Co3 Co 0.750 0.250 0.250
Co4 Co 0.750 0.750 0.750
Rh1 Rh 0.250 0.250 0.250
Rh2 Rh 0.250 0.750 0.750
Rh3 Rh 0.750 0.250 0.750
Rh4 Rh 0.750 0.750 0.250
```

Peak list (8 most intense, 2θ from 5° to 70°, low angle first)
2θ = 25.18°, I 18; 2θ = 29.16°, I 5; 2θ = 41.71°, I 100; 2θ = 49.35°, I 9; 2θ = 51.70°, I 2; 2θ = 60.46°, I 16; 2θ = 66.55°, I 4; 2θ = 68.51°, I 2

Pm3Al8Pt3: theoretical X-ray powder pattern (Cu Kα, 1.54184 Å), based on a crystal structure in Alexandria, relaxed with GGA-PBE.
Peak positions follow from Bragg's law for the DFT cell and can differ from measured ones.

Cell and atoms:
```
data_Pm3Al8Pt3
_space_group_name_H-M_alt 'P 1'
_space_group_IT_number 1
_space_group_name_Hall 'P 1'
_cell_length_a 8.274
_cell_length_b 8.274
_cell_length_c 9.132
_cell_angle_alpha 123.06
_cell_angle_beta 123.06
_cell_angle_gamma 31.31
loop_
_atom_site_label
_atom_site_type_symbol
_atom_site_fract_x
_atom_site_fract_y
_atom_site_fract_z
Pm1 Pm 0.000 0.000 0.000
Pm2 Pm 0.287 0.287 0.300
Pm3 Pm 0.713 0.713 0.700
Al1 Al 0.132 0.132 0.422
Al2 Al 0.153 0.153 0.867
Al3 Al 0.348 0.348 0.716
Al4 Al 0.493 0.493 0.325
Al5 Al 0.507 0.507 0.675
Al6 Al 0.652 0.652 0.284
Al7 Al 0.847 0.847 0.133
Al8 Al 0.868 0.868 0.578
Pt1 Pt 0.000 0.000 0.500
Pt2 Pt 0.351 0.351 0.997
Pt3 Pt 0.649 0.649 0.003
```

Peak list (10 most intense, 2θ from 5° to 70°, low angle first)
2θ = 11.80°, I 45; 2θ = 19.44°, I 31; 2θ = 25.99°, I 40; 2θ = 28.56°, I 100; 2θ = 28.82°, I 57; 2θ = 33.76°, I 40; 2θ = 34.88°, I 33; 2θ = 35.70°, I 39; 2θ = 38.24°, I 23; 2θ = 40.39°, I 48

K2LiCa: theoretical X-ray powder pattern (Cu Kα, 1.54184 Å), based on a crystal structure in Alexandria, relaxed with GGA-PBE.
Peak positions follow from Bragg's law for the DFT cell and can differ from measured ones.

Cell and atoms:
```
data_K2LiCa
_space_group_name_H-M_alt 'P 1'
_space_group_IT_number 1
_space_group_name_Hall 'P 1'
_cell_length_a 5.472
_cell_length_b 5.472
_cell_length_c 6.508
_cell_angle_alpha 90.00
_cell_angle_beta 90.00
_cell_angle_gamma 90.00
loop_
_atom_site_label
_atom_site_type_symbol
_atom_site_fract_x
_atom_site_fract_y
_atom_site_fract_z
K1 K 0.000 0.500 0.000
K2 K 0.500 0.000 0.000
Li1 Li 0.000 0.000 0.500
Ca1 Ca 0.500 0.500 0.500
```

Peak list (10 most intense, 2θ from 5° to 70°, low angle first)
2θ = 16.20°, I 14; 2θ = 21.21°, I 15; 2θ = 26.80°, I 100; 2θ = 27.41°, I 24; 2θ = 32.73°, I 29; 2θ = 43.20°, I 24; 2θ = 48.08°, I 17; 2θ = 54.90°, I 22; 2θ = 55.23°, I 11; 2θ = 69.48°, I 10

YAlSe3: theoretical X-ray powder pattern (Cu Kα, 1.54184 Å), based on a crystal structure in Alexandria, relaxed with GGA-PBE.
Peak positions follow from Bragg's law for the DFT cell and can differ from measured ones.

Cell and atoms:
```
data_YAlSe3
_space_group_name_H-M_alt 'P 1'
_space_group_IT_number 1
_space_group_name_Hall 'P 1'
_cell_length_a 8.910
_cell_length_b 3.910
_cell_length_c 10.202
_cell_angle_alpha 90.00
_cell_angle_beta 114.62
_cell_angle_gamma 90.00
loop_
_atom_site_label
_atom_site_type_symbol
_atom_site_fract_x
_atom_site_fract_y
_atom_site_fract_z
Y1 Y 0.000 0.000 0.000
Y2 Y 0.130 0.000 0.686
Al1 Al 0.192 0.500 0.410
Al2 Al 0.676 0.500 0.763
Se1 Se 0.172 0.500 0.911
Se2 Se 0.249 0.000 0.295
Se3 Se 0.377 0.500 0.667
Se4 Se 0.772 0.000 0.676
Se5 Se 0.781 0.500 0.019
Se6 Se 0.958 0.500 0.465
```

Peak list (10 most intense, 2θ from 5° to 70°, low angle first)
2θ = 9.54°, I 65; 2θ = 10.92°, I 100; 2θ = 25.37°, I 38; 2θ = 25.81°, I 25; 2θ = 28.90°, I 40; 2θ = 30.41°, I 30; 2θ = 32.09°, I 41; 2θ = 34.98°, I 28; 2θ = 35.94°, I 30; 2θ = 46.44°, I 24

Cs2ZnPdCl6: theoretical X-ray powder pattern (Cu Kα, 1.54184 Å), based on a crystal structure in Alexandria, relaxed with GGA-PBE.
Peak positions follow from Bragg's law for the DFT cell and can differ from measured ones.

Cell and atoms:
```
data_Cs2ZnPdCl6
_space_group_name_H-M_alt 'P 1'
_space_group_IT_number 1
_space_group_name_Hall 'P 1'
_cell_length_a 12.835
_cell_length_b 12.835
_cell_length_c 12.835
_cell_angle_alpha 33.14
_cell_angle_beta 33.14
_cell_angle_gamma 33.14
loop_
_atom_site_label
_atom_site_type_symbol
_atom_site_fract_x
_atom_site_fract_y
_atom_site_fract_z
Cs1 Cs 0.124 0.124 0.124
Cs2 Cs 0.293 0.293 0.293
Cs3 Cs 0.707 0.707 0.707
Cs4 Cs 0.876 0.876 0.876
Zn1 Zn 0.411 0.411 0.411
Zn2 Zn 0.589 0.589 0.589
Pd1 Pd 0.000 0.000 0.000
Pd2 Pd 0.500 0.500 0.500
Cl1 Cl 0.149 0.610 0.610
Cl2 Cl 0.209 0.209 0.706
Cl3 Cl 0.209 0.706 0.209
Cl4 Cl 0.294 0.791 0.791
Cl5 Cl 0.390 0.390 0.851
Cl6 Cl 0.390 0.851 0.390
Cl7 Cl 0.610 0.149 0.610
Cl8 Cl 0.610 0.610 0.149
Cl9 Cl 0.706 0.209 0.209
Cl10 Cl 0.791 0.294 0.791
Cl11 Cl 0.791 0.791 0.294
Cl12 Cl 0.851 0.390 0.390
```

Peak list (10 most intense, 2θ from 5° to 70°, low angle first)
2θ = 22.12°, I 42; 2θ = 24.32°, I 100; 2θ = 28.30°, I 30; 2θ = 30.77°, I 47; 2θ = 33.11°, I 63; 2θ = 37.65°, I 36; 2θ = 42.79°, I 22; 2θ = 45.33°, I 21; 2θ = 49.82°, I 43; 2θ = 51.55°, I 21

LaSm3Ho2P6: theoretical X-ray powder pattern (Cu Kα, 1.54184 Å), based on a crystal structure in Alexandria, relaxed with GGA-PBE.
Peak positions follow from Bragg's law for the DFT cell and can differ from measured ones.

Cell and atoms:
```
data_LaSm3Ho2P6
_space_group_name_H-M_alt 'P 1'
_space_group_IT_number 1
_space_group_name_Hall 'P 1'
_cell_length_a 7.098
_cell_length_b 7.098
_cell_length_c 7.097
_cell_angle_alpha 99.60
_cell_angle_beta 99.60
_cell_angle_gamma 120.00
loop_
_atom_site_label
_atom_site_type_symbol
_atom_site_fract_x
_atom_site_fract_y
_atom_site_fract_z
La1 La 0.000 0.000 0.000
Sm1 Sm 0.165 0.835 0.500
Sm2 Sm 0.500 0.500 0.500
Sm3 Sm 0.835 0.165 0.500
Ho1 Ho 0.333 0.667 0.000
Ho2 Ho 0.667 0.333 0.000
P1 P 0.083 0.424 0.248
P2 P 0.259 0.259 0.753
P3 P 0.424 0.083 0.248
P4 P 0.576 0.917 0.752
P5 P 0.741 0.741 0.247
P6 P 0.917 0.576 0.752
```

Peak list (6 most intense, 2θ from 5° to 70°, low angle first)
2θ = 26.64°, I 83; 2θ = 30.86°, I 100; 2θ = 44.20°, I 73; 2θ = 52.36°, I 41; 2θ = 54.88°, I 26; 2θ = 64.30°, I 12

RbVCd2Cl8: theoretical X-ray powder pattern (Cu Kα, 1.54184 Å), based on a crystal structure in Alexandria, relaxed with GGA-PBE.
Peak positions follow from Bragg's law for the DFT cell and can differ from measured ones.

Cell and atoms:
```
data_RbVCd2Cl8
_space_group_name_H-M_alt 'P 1'
_space_group_IT_number 1
_space_group_name_Hall 'P 1'
_cell_length_a 6.402
_cell_length_b 6.402
_cell_length_c 9.556
_cell_angle_alpha 93.59
_cell_angle_beta 93.59
_cell_angle_gamma 68.31
loop_
_atom_site_label
_atom_site_type_symbol
_atom_site_fract_x
_atom_site_fract_y
_atom_site_fract_z
Rb1 Rb 0.000 0.000 0.000
V1 V 0.000 0.000 0.500
Cd1 Cd 0.362 0.362 0.699
Cd2 Cd 0.638 0.638 0.301
Cl1 Cl 0.207 0.742 0.320
Cl2 Cl 0.222 0.222 0.475
Cl3 Cl 0.258 0.793 0.680
Cl4 Cl 0.312 0.312 0.940
Cl5 Cl 0.688 0.688 0.060
Cl6 Cl 0.742 0.207 0.320
Cl7 Cl 0.778 0.778 0.525
Cl8 Cl 0.793 0.258 0.680
```

Peak list (10 most intense, 2θ from 5° to 70°, low angle first)
2θ = 9.28°, I 54; 2θ = 17.24°, I 51; 2θ = 17.92°, I 97; 2θ = 23.43°, I 82; 2θ = 24.44°, I 40; 2θ = 24.77°, I 66; 2θ = 28.22°, I 99; 2θ = 31.15°, I 100; 2θ = 45.64°, I 40; 2θ = 47.88°, I 59

Ta2MnGa2Ni7: theoretical X-ray powder pattern (Cu Kα, 1.54184 Å), based on a crystal structure in Alexandria, relaxed with GGA-PBE.
Peak positions follow from Bragg's law for the DFT cell and can differ from measured ones.

Cell and atoms:
```
data_Ta2MnGa2Ni7
_space_group_name_H-M_alt 'P 1'
_space_group_IT_number 1
_space_group_name_Hall 'P 1'
_cell_length_a 14.867
_cell_length_b 14.867
_cell_length_c 14.867
_cell_angle_alpha 167.20
_cell_angle_beta 167.20
_cell_angle_gamma 18.14
loop_
_atom_site_label
_atom_site_type_symbol
_atom_site_fract_x
_atom_site_fract_y
_atom_site_fract_z
Ta1 Ta 0.132 0.132 0.000
Ta2 Ta 0.868 0.868 0.000
Mn1 Mn 0.500 0.500 0.000
Ga1 Ga 0.310 0.310 0.000
Ga2 Ga 0.690 0.690 0.000
Ni1 Ni 0.000 0.000 0.000
Ni2 Ni 0.066 0.566 0.500
Ni3 Ni 0.226 0.226 0.000
Ni4 Ni 0.434 0.934 0.500
Ni5 Ni 0.566 0.066 0.500
Ni6 Ni 0.774 0.774 0.000
Ni7 Ni 0.934 0.434 0.500
```

Peak list (10 most intense, 2θ from 5° to 70°, low angle first)
2θ = 27.08°, I 48; 2θ = 30.98°, I 39; 2θ = 34.49°, I 46; 2θ = 38.41°, I 51; 2θ = 38.73°, I 37; 2θ = 38.92°, I 41; 2θ = 42.78°, I 59; 2θ = 43.53°, I 100; 2θ = 45.95°, I 92; 2θ = 55.45°, I 71

AgB: theoretical X-ray powder pattern (Cu Kα, 1.54184 Å), based on a crystal structure in Alexandria, relaxed with GGA-PBE.
Peak positions follow from Bragg's law for the DFT cell and can differ from measured ones.

Cell and atoms:
```
data_AgB
_space_group_name_H-M_alt 'P 1'
_space_group_IT_number 1
_space_group_name_Hall 'P 1'
_cell_length_a 4.423
_cell_length_b 4.423
_cell_length_c 3.199
_cell_angle_alpha 90.00
_cell_angle_beta 90.00
_cell_angle_gamma 90.00
loop_
_atom_site_label
_atom_site_type_symbol
_atom_site_fract_x
_atom_site_fract_y
_atom_site_fract_z
Ag1 Ag 0.000 0.500 0.000
Ag2 Ag 0.500 0.000 0.000
B1 B 0.000 0.000 0.250
B2 B 0.000 0.000 0.750
```

Peak list (10 most intense, 2θ from 5° to 70°, low angle first)
2θ = 27.89°, I 62; 2θ = 28.54°, I 100; 2θ = 40.33°, I 91; 2θ = 40.80°, I 50; 2θ = 50.14°, I 47; 2θ = 57.63°, I 7; 2θ = 59.07°, I 16; 2θ = 65.55°, I 23; 2θ = 66.56°, I 19; 2θ = 66.89°, I 17

Rb2ZrAs2: theoretical X-ray powder pattern (Cu Kα, 1.54184 Å), based on a crystal structure in Alexandria, relaxed with GGA-PBE.
Peak positions follow from Bragg's law for the DFT cell and can differ from measured ones.

Cell and atoms:
```
data_Rb2ZrAs2
_space_group_name_H-M_alt 'P 1'
_space_group_IT_number 1
_space_group_name_Hall 'P 1'
_cell_length_a 8.735
_cell_length_b 8.735
_cell_length_c 8.735
_cell_angle_alpha 127.46
_cell_angle_beta 73.19
_cell_angle_gamma 132.92
loop_
_atom_site_label
_atom_site_type_symbol
_atom_site_fract_x
_atom_site_fract_y
_atom_site_fract_z
Rb1 Rb 0.153 0.143 0.295
Rb2 Rb 0.347 0.643 0.990
Rb3 Rb 0.653 0.357 0.010
Rb4 Rb 0.847 0.857 0.705
Zr1 Zr 0.250 0.750 0.500
Zr2 Zr 0.750 0.250 0.500
As1 As 0.098 0.684 0.782
As2 As 0.402 0.184 0.587
As3 As 0.598 0.816 0.413
As4 As 0.902 0.316 0.218
```

Peak list (10 most intense, 2θ from 5° to 70°, low angle first)
2θ = 12.62°, I 28; 2θ = 13.07°, I 47; 2θ = 22.22°, I 65; 2θ = 25.53°, I 39; 2θ = 27.12°, I 100; 2θ = 30.79°, I 54; 2θ = 32.68°, I 35; 2θ = 34.59°, I 61; 2θ = 36.32°, I 65; 2θ = 47.97°, I 36

La4Ni13C4: theoretical X-ray powder pattern (Cu Kα, 1.54184 Å), based on a crystal structure in Alexandria, relaxed with GGA-PBE.
Peak positions follow from Bragg's law for the DFT cell and can differ from measured ones.

Cell and atoms:
```
data_La4Ni13C4
_space_group_name_H-M_alt 'P 1'
_space_group_IT_number 1
_space_group_name_Hall 'P 1'
_cell_length_a 8.533
_cell_length_b 8.533
_cell_length_c 3.980
_cell_angle_alpha 90.00
_cell_angle_beta 90.00
_cell_angle_gamma 90.62
loop_
_atom_site_label
_atom_site_type_symbol
_atom_site_fract_x
_atom_site_fract_y
_atom_site_fract_z
La1 La 0.190 0.810 0.000
La2 La 0.343 0.343 0.000
La3 La 0.657 0.657 0.000
La4 La 0.810 0.190 0.000
Ni1 Ni 0.000 0.000 0.500
Ni2 Ni 0.000 0.500 0.000
Ni3 Ni 0.071 0.290 0.500
Ni4 Ni 0.120 0.120 0.000
Ni5 Ni 0.216 0.566 0.500
Ni6 Ni 0.290 0.071 0.500
Ni7 Ni 0.434 0.784 0.500
Ni8 Ni 0.500 0.000 0.000
Ni9 Ni 0.566 0.216 0.500
Ni10 Ni 0.710 0.929 0.500
Ni11 Ni 0.784 0.434 0.500
Ni12 Ni 0.880 0.880 0.000
Ni13 Ni 0.929 0.710 0.500
C1 C 0.000 0.500 0.500
C2 C 0.444 0.556 0.500
C3 C 0.500 0.000 0.500
C4 C 0.556 0.444 0.500
```

Peak list (10 most intense, 2θ from 5° to 70°, low angle first)
2θ = 32.43°, I 66; 2θ = 32.58°, I 37; 2θ = 33.31°, I 25; 2θ = 37.27°, I 54; 2θ = 40.29°, I 23; 2θ = 40.48°, I 100; 2θ = 43.63°, I 40; 2θ = 43.86°, I 27; 2θ = 45.59°, I 51; 2θ = 64.93°, I 23